1.
Ba2SmNbO6: simulated XRD peak list (Cu Kα (weighted mean of Kα1 and Kα2)), based on a GGA-PBE-relaxed structure.
Kinematic intensities with the Lorentz-polarization factor, no thermal factor.

Crystal structure
a = 8.6417 Å, b = 8.6417 Å, c = 8.6417 Å
α = 90.00°, β = 90.00°, γ = 90.00°
Space group Pn-3 (No. 201, origin choice 2)
Inequivalent atoms, fractional coordinates:
Ba: 0.2500 0.2500 0.2500 [2 per cell]
Ba: 0.2500 0.2500 0.7500 [6 per cell]
Sm: 0.0000 0.0000 0.0000 [4 per cell]
Nb: 0.0000 0.0000 0.5000 [4 per cell]
O: 0.0197 0.5217 0.7669 [24 per cell]

Main lines, sorted by position (10 to 80 degrees two-theta):
hkl  d [Å]  two_theta  I_rel
2 2 0  3.055  29.2  100
3 1 1  2.606  34.4  2
2 2 2  2.495  36.0  2
4 0 0  2.160  41.8  29
4 2 2  1.764  51.8  42
4 4 0  1.528  60.6  18
6 2 0  1.366  68.7  18
4 4 4  1.247  76.3  6

---

2.
Mg2Au: simulated XRD peak list (Cu Kα (weighted mean of Kα1 and Kα2)), based on a GGA-PBE-relaxed structure.
Kinematic intensities with the Lorentz-polarization factor, no thermal factor.

Crystal structure
a = 6.0033 Å, b = 4.5739 Å, c = 8.4783 Å
α = 90.00°, β = 90.00°, γ = 90.00°
Space group Pnma (No. 62)
Inequivalent atoms, fractional coordinates:
Mg: 0.0382 0.2500 0.2069 [4 per cell]
Mg: 0.1798 0.2500 0.5635 [4 per cell]
Au: 0.2210 0.2500 0.8884 [4 per cell]

Main lines, sorted by position (10 to 80 degrees two-theta):
hkl  d [Å]  two_theta  I_rel
0 1 1  4.025  22.1  53
1 0 2  3.463  25.7  86
1 1 1  3.343  26.7  89
2 0 0  3.002  29.8  33
0 1 3  2.405  37.4  100
0 2 0  2.287  39.4  30
1 2 2  1.908  47.7  34
2 1 3  1.876  48.5  28

---

3.
KTmI3: simulated XRD peak list (Cu Kα (weighted mean of Kα1 and Kα2)), based on a GGA-PBE-relaxed structure.
Kinematic intensities with the Lorentz-polarization factor, no thermal factor.

Crystal structure
a = 4.2848 Å, b = 15.6516 Å, c = 11.5390 Å
α = 90.00°, β = 90.00°, γ = 90.00°
Space group Cmcm (No. 63)
Inequivalent atoms, fractional coordinates:
K: 0.0000 0.2489 0.2500 [4 per cell]
Tm: 0.0000 0.0000 0.0000 [4 per cell]
I: 0.0000 0.0665 0.7500 [4 per cell]
I: 0.0000 0.3663 0.5540 [8 per cell]

Main lines, sorted by position (10 to 80 degrees two-theta):
hkl  d [Å]  two_theta  I_rel
0 2 0  7.826  11.3  71
0 0 2  5.769  15.4  42
0 2 3  3.452  25.8  62
1 3 0  3.311  26.9  100
1 3 1  3.183  28.0  47
1 3 2  2.872  31.1  68
0 6 2  2.377  37.9  33
1 5 2  2.315  38.9  47

---

What did the first record say?
Ba2SmNbO6: simulated XRD peak list (Cu Kα (weighted mean of Kα1 and Kα2)), based on a GGA-PBE-relaxed structure.
Kinematic intensities with the Lorentz-polarization factor, no thermal factor.

Crystal structure
a = 8.6417 Å, b = 8.6417 Å, c = 8.6417 Å
α = 90.00°, β = 90.00°, γ = 90.00°
Space group Pn-3 (No. 201, origin choice 2)
Inequivalent atoms, fractional coordinates:
Ba: 0.2500 0.2500 0.2500 [2 per cell]
Ba: 0.2500 0.2500 0.7500 [6 per cell]
Sm: 0.0000 0.0000 0.0000 [4 per cell]
Nb: 0.0000 0.0000 0.5000 [4 per cell]
O: 0.0197 0.5217 0.7669 [24 per cell]

Main lines, sorted by position (10 to 80 degrees two-theta):
hkl  d [Å]  two_theta  I_rel
2 2 0  3.055  29.2  100
3 1 1  2.606  34.4  2
2 2 2  2.495  36.0  2
4 0 0  2.160  41.8  29
4 2 2  1.764  51.8  42
4 4 0  1.528  60.6  18
6 2 0  1.366  68.7  18
4 4 4  1.247  76.3  6